Structure and theoretical powder X-ray diffraction pattern of LiCoPO4 (a GGA+U-relaxed structure; CuKα).
Intensities are scaled so that the largest is 100.

Structure:
Cell: 8.658 5.099 8.515 Å, 90.00 107.62 90.00°
Fractional positions:
Li 0.000 0.176 0.000
Li 0.000 0.824 0.500
Li 0.492 0.318 0.369
Li 0.492 0.682 0.869
Co 0.244 0.180 0.759
Co 0.244 0.820 0.259
Co 0.740 0.321 0.130
Co 0.740 0.679 0.630
P 0.121 0.312 0.376
P 0.121 0.688 0.876
P 0.618 0.189 0.757
P 0.618 0.811 0.257
O 0.096 0.182 0.531
O 0.096 0.818 0.031
O 0.145 0.387 0.903
O 0.145 0.613 0.403
O 0.272 0.191 0.340
O 0.272 0.809 0.840
O 0.468 0.305 0.796
O 0.468 0.695 0.296
O 0.597 0.111 0.226
O 0.597 0.889 0.726
O 0.641 0.324 0.601
O 0.641 0.676 0.101
O 0.767 0.251 0.907
O 0.767 0.749 0.407
O 0.973 0.249 0.224
O 0.973 0.751 0.724

Peak list (6 most intense, 2θ = 5–70°, by intensity)
- 21.64 deg, d 4.107, intensity 100.0
- 21.54 deg, d 4.126, intensity 77.6
- 27.27 deg, d 3.270, intensity 52.4
- 21.91 deg, d 4.057, intensity 37.1
- 35.20 deg, d 2.549, intensity 33.6
- 27.39 deg, d 3.256, intensity 21.9